# HfTePdO6
Computed powder XRD pattern, Cu Ka. Input: a cell relaxed with PBE.
Neutral-atom scattering factors, no anomalous dispersion.

Atomic structure:
abc: 5.3849 5.3849 9.2485
angles: 90.00 90.00 120.00
Space group P-31c (No. 163)
One atom of each set of equivalent atoms:
Hf (0.3333, 0.6667, 0.2500) x2
Te (0.3333, 0.6667, 0.7500) x2
Pd (0.0000, 0.0000, 0.0000) x2
O (0.0186, 0.3705, 0.6346) x12

The 6 most intense peaks (10° ≤ 2θ ≤ 90°), low angle first:
| 2θ/deg | I_rel | (hkl) |
| --- | --- | --- |
| 27.16 | 100 | 1 0 2 |
| 33.28 | 56 | 1 1 0 |
| 38.70 | 24 | 1 1 2 |
| 43.46 | 27 | 2 0 2 |
| 52.14 | 49 | 1 1 4 |
| 55.82 | 26 | 2 1 2 |